Al2Zn2S5: computed XRD peak list (Cu Kα (λ = 1.5418 Å)), based on the GGA-PBE geometry in the Materials Project.
No peak broadening, texture or thermal motion is included.

Largest 10 diffraction maxima, sorted by position, 10 to 90 degrees two-theta:
11.7°, 7.532 Å, I 51; 23.6°, 3.766 Å, I 81; 27.8°, 3.212 Å, I 92; 28.0°, 3.188 Å, I 37; 29.4°, 3.033 Å, I 81; 34.2°, 2.623 Å, I 38; 44.2°, 2.050 Å, I 51; 49.0°, 1.859 Å, I 100; 52.9°, 1.732 Å, I 52; 55.1°, 1.667 Å, I 44

```
Al2Zn2S5
1.0
1.8592 1.0734 15.0636
-1.8592 1.0734 15.0636
0.0000 -2.1469 15.0636
Al Zn S
2 2 5
direct
0.0000 0.0000 0.0000
0.1813 0.1813 0.1813
0.5942 0.5942 0.5942
0.7660 0.7660 0.7660
0.0825 0.0825 0.0825
0.5444 0.5444 0.5444
0.6851 0.6851 0.6851
0.8224 0.8224 0.8224
0.9495 0.9495 0.9495
```

---

Al2Zn2S5: computed XRD peak list (Cu Kα (λ = 1.5418 Å)), based on the GGA-PBE geometry in the Materials Project.
No peak broadening, texture or thermal motion is included.

Largest 10 diffraction maxima, sorted by position, 10 to 90 degrees two-theta:
14.3°, 6.210 Å, I 52; 27.1°, 3.288 Å, I 44; 27.2°, 3.274 Å, I 94; 28.8°, 3.099 Å, I 81; 30.8°, 2.905 Å, I 31; 30.9°, 2.895 Å, I 59; 40.0°, 2.252 Å, I 45; 48.0°, 1.896 Å, I 68; 48.2°, 1.888 Å, I 33; 52.3°, 1.748 Å, I 100

```
Al2Zn2S5
1.0
6.5764 0.0000 0.0000
0.0000 6.1971 0.0000
-3.2838 0.0000 9.4382
Al Zn S
4 4 10
direct
0.1282 0.0000 0.1032
0.3403 0.0037 0.5002
0.6597 0.5037 0.4998
0.8718 0.5000 0.8968
0.2627 0.4920 0.6936
0.4673 0.5062 0.1095
0.5327 0.0062 0.8905
0.7373 0.9920 0.3064
0.0734 0.1243 0.3019
0.1222 0.6323 0.0940
0.2603 0.1171 0.6910
0.3369 0.6350 0.4971
0.4569 0.1206 0.0987
0.5431 0.6206 0.9013
0.6631 0.1350 0.5029
0.7397 0.6171 0.3090
0.8778 0.1323 0.9060
0.9266 0.6243 0.6981
```

---

Al2ZnS4: computed XRD peak list (Cu Kα (λ = 1.5418 Å)), based on the GGA-PBE geometry in the Materials Project.
No peak broadening, texture or thermal motion is included.

Largest 10 diffraction maxima, sorted by position, 10 to 90 degrees two-theta:
25.0°, 3.567 Å, I 68; 29.4°, 3.042 Å, I 90; 30.7°, 2.912 Å, I 29; 35.6°, 2.522 Å, I 30; 44.0°, 2.059 Å, I 26; 46.8°, 1.941 Å, I 51; 51.2°, 1.783 Å, I 100; 69.8°, 1.348 Å, I 15; 71.9°, 1.313 Å, I 17; 75.4°, 1.261 Å, I 14

```
Al2ZnS4
1.0
0.0000 5.0441 5.0441
5.0441 0.0000 5.0441
5.0441 5.0441 0.0000
Al Zn S
4 2 8
direct
0.0000 0.0000 0.0000
0.0000 0.0000 0.5000
0.0000 0.5000 0.0000
0.5000 0.0000 0.0000
0.3750 0.3750 0.3750
0.6250 0.6250 0.6250
0.2207 0.7598 0.7598
0.2402 0.2402 0.2402
0.2402 0.2402 0.7793
0.2402 0.7793 0.2402
0.7598 0.2207 0.7598
0.7598 0.7598 0.2207
0.7598 0.7598 0.7598
0.7793 0.2402 0.2402
```

---

What did the first record say?
Al2Zn2S5: computed XRD peak list (Cu Kα (λ = 1.5418 Å)), based on the GGA-PBE geometry in the Materials Project.
No peak broadening, texture or thermal motion is included.

Largest 10 diffraction maxima, sorted by position, 10 to 90 degrees two-theta:
11.7°, 7.532 Å, I 51; 23.6°, 3.766 Å, I 81; 27.8°, 3.212 Å, I 92; 28.0°, 3.188 Å, I 37; 29.4°, 3.033 Å, I 81; 34.2°, 2.623 Å, I 38; 44.2°, 2.050 Å, I 51; 49.0°, 1.859 Å, I 100; 52.9°, 1.732 Å, I 52; 55.1°, 1.667 Å, I 44

```
Al2Zn2S5
1.0
1.8592 1.0734 15.0636
-1.8592 1.0734 15.0636
0.0000 -2.1469 15.0636
Al Zn S
2 2 5
direct
0.0000 0.0000 0.0000
0.1813 0.1813 0.1813
0.5942 0.5942 0.5942
0.7660 0.7660 0.7660
0.0825 0.0825 0.0825
0.5444 0.5444 0.5444
0.6851 0.6851 0.6851
0.8224 0.8224 0.8224
0.9495 0.9495 0.9495
```